# 1
Theoretical X-ray diffraction stick pattern of Dy2Ge2Ru for a wavelength of 1.5418 Å, from a DFT-relaxed cell (PBE, the Materials Project).
Lines closer than 0.1° are merged.

Structure:
Cell: 5.8109 5.8109 10.1970 Å, 116.14 116.14 43.53°
Atoms (fractional coordinates):
Dy  0.0015  0.0015  0.3281
Dy  0.1842  0.1842  0.1087
Dy  0.8158  0.8158  0.8913
Dy  0.9985  0.9985  0.6719
Ge  0.3537  0.3537  0.4319
Ge  0.4893  0.4893  0.1244
Ge  0.5107  0.5107  0.8756
Ge  0.6463  0.6463  0.5681
Ru  0.2718  0.2718  0.6272
Ru  0.7282  0.7282  0.3728

Top 8 peaks for 10° ≤ 2θ ≤ 90°, in order of rising 2θ:
| 2θ/deg | Rel. int. |
| --- | --- |
| 32.60 | 531 |
| 33.12 | 1000 |
| 33.30 | 488 |
| 33.93 | 589 |
| 36.51 | 617 |
| 40.15 | 487 |
| 40.26 | 622 |
| 41.93 | 575 |



# 2
Theoretical X-ray diffraction stick pattern of Er3Si3Ni for a wavelength of 1.5418 Å, from a DFT-relaxed cell (PBE, the Materials Project).
Lines closer than 0.1° are merged.

Structure:
Cell: 5.5402 5.5402 13.4429 Å, 108.97 108.97 44.16°
Atoms (fractional coordinates):
Er  0.0303  0.0303  0.3803
Er  0.1021  0.1021  0.9214
Er  0.2470  0.2470  0.2276
Er  0.7530  0.7530  0.7724
Er  0.8979  0.8979  0.0786
Er  0.9697  0.9697  0.6197
Si  0.3638  0.3638  0.4567
Si  0.3860  0.3860  0.9239
Si  0.4544  0.4544  0.7640
Si  0.5456  0.5456  0.2360
Si  0.6140  0.6140  0.0761
Si  0.6362  0.6362  0.5433
Ni  0.2525  0.2525  0.5975
Ni  0.7475  0.7475  0.4025

Top 8 peaks for 10° ≤ 2θ ≤ 90°, in order of rising 2θ:
| 2θ/deg | Rel. int. |
| --- | --- |
| 23.29 | 563 |
| 27.91 | 381 |
| 33.86 | 720 |
| 34.01 | 414 |
| 34.26 | 1000 |
| 34.97 | 331 |
| 41.89 | 424 |
| 43.46 | 394 |



# 3
Theoretical X-ray diffraction stick pattern of YScFe4 for a wavelength of 1.5418 Å, from a DFT-relaxed cell (PBE, the Materials Project).
Lines closer than 0.1° are merged.

Structure:
Cell: 5.0340 5.0340 5.0340 Å, 60.00 60.00 60.00°
Atoms (fractional coordinates):
Y  0.0000  0.0000  0.0000
Sc  0.7500  0.7500  0.7500
Fe  0.3754  0.3754  0.3754
Fe  0.3754  0.3754  0.8737
Fe  0.3754  0.8737  0.3754
Fe  0.8737  0.3754  0.3754

Top 8 peaks for 10° ≤ 2θ ≤ 90°, in order of rising 2θ:
| 2θ/deg | Rel. int. |
| --- | --- |
| 21.62 | 63 |
| 25.02 | 48 |
| 35.67 | 317 |
| 42.10 | 1000 |
| 44.06 | 360 |
| 64.08 | 105 |
| 68.48 | 284 |
| 75.55 | 229 |



# 4
Theoretical X-ray diffraction stick pattern of SiO2 for a wavelength of 1.5418 Å, from a DFT-relaxed cell (PBE, the Materials Project).
Lines closer than 0.1° are merged.

Structure:
Cell: 13.1604 13.1604 3.8890 Å, 90.00 90.00 120.00°
Atoms (fractional coordinates):
Si  0.1311  0.4803  0.3436
Si  0.1311  0.6507  0.6564
Si  0.3493  0.4803  0.6564
Si  0.3493  0.8689  0.3436
Si  0.4803  0.1311  0.6564
Si  0.4803  0.3493  0.3436
Si  0.5197  0.6507  0.3436
Si  0.5197  0.8689  0.6564
Si  0.6507  0.1311  0.3436
Si  0.6507  0.5197  0.6564
Si  0.8689  0.3493  0.6564
Si  0.8689  0.5197  0.3436
O  0.0000  0.3854  0.5000
O  0.0000  0.6146  0.5000
O  0.1053  0.5527  0.0000
O  0.2071  0.4143  0.5000
O  0.2071  0.7929  0.5000
O  0.2158  0.6079  0.5000
O  0.3854  0.0000  0.5000
O  0.3854  0.3854  0.5000
O  0.3921  0.6079  0.5000
O  0.3921  0.7842  0.5000
O  0.4143  0.2071  0.5000
O  0.4473  0.5527  0.0000
O  0.4473  0.8947  0.0000
O  0.5527  0.1053  0.0000
O  0.5527  0.4473  0.0000
O  0.5857  0.7929  0.5000
O  0.6079  0.2158  0.5000
O  0.6079  0.3921  0.5000
O  0.6146  0.0000  0.5000
O  0.6146  0.6146  0.5000
O  0.7842  0.3921  0.5000
O  0.7929  0.2071  0.5000
O  0.7929  0.5857  0.5000
O  0.8947  0.4473  0.0000

Top 8 peaks for 10° ≤ 2θ ≤ 90°, in order of rising 2θ:
| 2θ/deg | Rel. int. |
| --- | --- |
| 15.55 | 594 |
| 22.87 | 927 |
| 24.18 | 267 |
| 30.98 | 1000 |
| 31.40 | 222 |
| 36.64 | 363 |
| 51.57 | 220 |
| 54.35 | 237 |



# 5
Theoretical X-ray diffraction stick pattern of NdAg2 for a wavelength of 1.5418 Å, from a DFT-relaxed cell (PBE, the Materials Project).
Lines closer than 0.1° are merged.

Structure:
Cell: 4.7931 7.2683 8.2928 Å, 90.00 90.00 90.00°
Atoms (fractional coordinates):
Nd  0.0000  0.2500  0.0355
Nd  0.0000  0.7500  0.9645
Nd  0.5000  0.2500  0.4645
Nd  0.5000  0.7500  0.5355
Ag  0.0000  0.0384  0.6649
Ag  0.0000  0.4616  0.6649
Ag  0.0000  0.5384  0.3351
Ag  0.0000  0.9616  0.3351
Ag  0.5000  0.0384  0.8351
Ag  0.5000  0.4616  0.8351
Ag  0.5000  0.5384  0.1649
Ag  0.5000  0.9616  0.1649

Top 8 peaks for 10° ≤ 2θ ≤ 90°, in order of rising 2θ:
| 2θ/deg | Rel. int. |
| --- | --- |
| 31.06 | 164 |
| 32.76 | 1000 |
| 37.55 | 745 |
| 50.67 | 240 |
| 62.02 | 103 |
| 64.35 | 154 |
| 64.74 | 193 |
| 67.75 | 100 |



# 6
Theoretical X-ray diffraction stick pattern of Te2MoWS2 for a wavelength of 1.5418 Å, from a DFT-relaxed cell (PBE, the Materials Project).
Lines closer than 0.1° are merged.

Structure:
Cell: 3.3558 3.3558 38.3059 Å, 90.00 90.00 120.00°
Atoms (fractional coordinates):
Te  0.0000  0.0000  0.0000
Te  0.0000  0.0000  0.0986
Te  0.0000  0.0000  0.3758
Te  0.0000  0.0000  0.4744
Mo  0.6667  0.3333  0.0493
Mo  0.6667  0.3333  0.4250
W  0.0000  0.0000  0.2372
W  0.0000  0.0000  0.6129
S  0.6667  0.3333  0.1976
S  0.6667  0.3333  0.2768
S  0.6667  0.3333  0.5733
S  0.6667  0.3333  0.6526

Top 8 peaks for 10° ≤ 2θ ≤ 90°, in order of rising 2θ:
| 2θ/deg | Rel. int. |
| --- | --- |
| 11.55 | 991 |
| 13.87 | 173 |
| 18.53 | 266 |
| 30.78 | 628 |
| 36.16 | 1000 |
| 37.51 | 164 |
| 43.75 | 471 |
| 54.71 | 304 |



# 7
Theoretical X-ray diffraction stick pattern of Ca4UAl2Si3O15 for a wavelength of 1.5418 Å, from a DFT-relaxed cell (PBE, the Materials Project).
Lines closer than 0.1° are merged.

Structure:
Cell: 10.9490 10.9490 10.9490 Å, 27.41 27.41 27.41°
Atoms (fractional coordinates):
Ca  0.0994  0.0994  0.0994
Ca  0.3004  0.3004  0.3004
Ca  0.6996  0.6996  0.6996
Ca  0.9006  0.9006  0.9006
U  0.5000  0.5000  0.5000
Al  0.2012  0.2012  0.2012
Al  0.7988  0.7988  0.7988
Si  0.0000  0.0000  0.0000
Si  0.3989  0.3989  0.3989
Si  0.6011  0.6011  0.6011
O  0.0000  0.0000  0.5000
O  0.0000  0.5000  0.0000
O  0.1159  0.5912  0.5912
O  0.1991  0.1991  0.7004
O  0.1991  0.7004  0.1991
O  0.2996  0.8009  0.8009
O  0.4088  0.4088  0.8841
O  0.4088  0.8841  0.4088
O  0.5000  0.0000  0.0000
O  0.5912  0.1159  0.5912
O  0.5912  0.5913  0.1159
O  0.7004  0.1991  0.1991
O  0.8009  0.2996  0.8009
O  0.8009  0.8009  0.2996
O  0.8841  0.4088  0.4088

Top 8 peaks for 10° ≤ 2θ ≤ 90°, in order of rising 2θ:
| 2θ/deg | Rel. int. |
| --- | --- |
| 19.96 | 656 |
| 20.55 | 644 |
| 22.77 | 432 |
| 34.58 | 1000 |
| 34.71 | 985 |
| 42.72 | 645 |
| 49.81 | 958 |
| 62.02 | 568 |



# 8
Theoretical X-ray diffraction stick pattern of U3SiPt5 for a wavelength of 1.5418 Å, from a DFT-relaxed cell (PBE, the Materials Project).
Lines closer than 0.1° are merged.

Structure:
Cell: 8.3712 8.3712 8.3712 Å, 75.68 126.92 130.29°
Atoms (fractional coordinates):
U  0.1315  0.7471  0.8844
U  0.2164  0.0485  0.2649
U  0.2164  0.4515  0.6680
U  0.7836  0.5485  0.3320
U  0.7836  0.9515  0.7351
U  0.8628  0.2471  0.1156
Si  0.4689  0.2485  0.7204
Si  0.5282  0.7485  0.2796
Pt  0.2275  0.3952  0.0334
Pt  0.2275  0.6941  0.3323
Pt  0.3619  0.1941  0.9666
Pt  0.3619  0.8952  0.6677
Pt  0.4018  0.4439  0.4579
Pt  0.6522  0.1074  0.3393
Pt  0.6522  0.8129  0.0448
Pt  0.7681  0.3129  0.6607
Pt  0.7681  0.6074  0.9552
Pt  0.9860  0.9439  0.5421

Top 8 peaks for 10° ≤ 2θ ≤ 90°, in order of rising 2θ:
| 2θ/deg | Rel. int. |
| --- | --- |
| 33.92 | 329 |
| 34.76 | 1000 |
| 35.01 | 351 |
| 36.27 | 317 |
| 36.67 | 324 |
| 37.32 | 348 |
| 37.64 | 369 |
| 40.96 | 262 |



# 9
Theoretical X-ray diffraction stick pattern of Dy2CuO4 for a wavelength of 1.5418 Å, from a DFT-relaxed cell (PBE, the Materials Project).
Lines closer than 0.1° are merged.

Structure:
Cell: 6.5361 6.5361 5.4908 Å, 90.00 90.00 49.71°
Atoms (fractional coordinates):
Dy  0.1536  0.1536  0.0000
Dy  0.3464  0.3464  0.5000
Dy  0.6536  0.6536  0.5000
Dy  0.8464  0.8464  0.0000
Cu  0.0000  0.0000  0.5000
Cu  0.5000  0.5000  0.0000
O  0.0092  0.4908  0.7500
O  0.2066  0.7934  0.7927
O  0.2934  0.7066  0.2927
O  0.4908  0.0092  0.2500
O  0.5092  0.9908  0.7500
O  0.7066  0.2934  0.7073
O  0.7934  0.2066  0.2073
O  0.9908  0.5092  0.2500

Top 8 peaks for 10° ≤ 2θ ≤ 90°, in order of rising 2θ:
| 2θ/deg | Rel. int. |
| --- | --- |
| 24.11 | 194 |
| 32.31 | 1000 |
| 32.61 | 365 |
| 44.99 | 148 |
| 46.78 | 244 |
| 57.43 | 170 |
| 58.00 | 388 |
| 67.63 | 97 |



# 10
Theoretical X-ray diffraction stick pattern of FeSe for a wavelength of 1.5418 Å, from a DFT-relaxed cell (PBE, the Materials Project).
Lines closer than 0.1° are merged.

Structure:
Cell: 3.6889 3.6889 5.8542 Å, 90.00 90.00 90.00°
Atoms (fractional coordinates):
Fe  0.2500  0.7500  0.0000
Fe  0.7500  0.2500  0.0000
Se  0.2500  0.2500  0.2352
Se  0.7500  0.7500  0.7648

Top 8 peaks for 10° ≤ 2θ ≤ 90°, in order of rising 2θ:
| 2θ/deg | Rel. int. |
| --- | --- |
| 15.13 | 848 |
| 28.60 | 1000 |
| 37.76 | 199 |
| 46.64 | 752 |
| 49.41 | 321 |
| 53.09 | 160 |
| 58.09 | 261 |
| 59.13 | 131 |



What is the formula in the sixth record?
Te2MoWS2